This entry pairs a crystal structure of Rb4Cr3F10 with its simulated powder XRD pattern. Radiation: Cu Kα, 1.54184 Å. Structure: DFT lattice parameters and positions (GGA+U).
Kinematic intensities with the Lorentz-polarization factor, no thermal factor.

Top 12 peaks for 10 to 80 degrees two-theta, low angle first:
(1 0 7), 3.128 Å, 28.5°, I 100; (1 1 0), 2.928 Å, 30.5°, I 53; (1 1 8), 2.397 Å, 37.5°, I 22; (0 0 14), 2.386 Å, 37.7°, I 28; (2 0 0), 2.071 Å, 43.7°, I 42; (1 1 14), 1.850 Å, 49.3°, I 22; (2 1 7), 1.727 Å, 53.0°, I 34; (2 0 14), 1.564 Å, 59.1°, I 26; (2 2 0), 1.464 Å, 63.5°, I 12; (3 0 7), 1.326 Å, 71.1°, I 7; (3 1 0), 1.310 Å, 72.1°, I 8; (2 2 14), 1.248 Å, 76.3°, I 11

Cell and atoms:
a b c (Å): 4.141 4.141 33.402
angles (deg): 90.00 90.00 90.00
Space group I4/mmm (No. 139)
Unique sites:
Rb (0.000, 0.000, 0.069)
Rb (0.000, 0.000, 0.207)
Cr (0.000, 0.000, 0.361)
Cr (0.000, 0.000, 0.500)
F (0.000, 0.000, 0.291)
F (0.000, 0.000, 0.430)
F (0.000, 0.500, 0.000)
F (0.000, 0.500, 0.139)